No. 1
Structure and computed X-ray powder pattern of Li3AlF6 (a structure optimized by DFT (PBE); a wavelength of 1.5418 Å).
Peak positions follow from Bragg's law for the DFT cell and can differ from measured ones.

Main lines, in order of rising 2θ (15° ≤ 2θ ≤ 90°):
2θ 20.87, d = 4.255 Å, I 37
2θ 21.28, d = 4.175 Å, I 98
2θ 25.78, d = 3.455 Å, I 21
2θ 40.99, d = 2.202 Å, I 54
2θ 41.72, d = 2.165 Å, I 100
2θ 53.01, d = 1.728 Å, I 26
2θ 53.60, d = 1.710 Å, I 33
2θ 65.84, d = 1.418 Å, I 22

Structure:
abc: 9.6532 8.3338 4.9493
angles: 90.00 90.00 90.00
Fractional positions:
Li (0.1051, 0.0477, 0.0000)
Li (0.1253, 0.6480, 0.4858)
Li (0.1458, 0.4528, 0.9922)
Li (0.3542, 0.9528, 0.4922)
Li (0.3747, 0.1480, 0.9858)
Li (0.3949, 0.5477, 0.5000)
Li (0.6051, 0.4523, 0.0000)
Li (0.6253, 0.8520, 0.4858)
Li (0.6458, 0.0472, 0.9922)
Li (0.8542, 0.5472, 0.4922)
Li (0.8747, 0.3520, 0.9858)
Li (0.8949, 0.9523, 0.5000)
Al (0.1283, 0.2604, 0.4946)
Al (0.3717, 0.7604, 0.9946)
Al (0.6283, 0.2396, 0.4946)
Al (0.8717, 0.7396, 0.9946)
F (0.0125, 0.4081, 0.6632)
F (0.0248, 0.2577, 0.1857)
F (0.0297, 0.0972, 0.6411)
F (0.2233, 0.4344, 0.3571)
F (0.2357, 0.2667, 0.7969)
F (0.2447, 0.1195, 0.3207)
F (0.2553, 0.6195, 0.8207)
F (0.2643, 0.7667, 0.2969)
F (0.2767, 0.9344, 0.8571)
F (0.4703, 0.5972, 0.1411)
F (0.4752, 0.7577, 0.6857)
F (0.4875, 0.9081, 0.1632)
F (0.5125, 0.0919, 0.6632)
F (0.5248, 0.2423, 0.1857)
F (0.5297, 0.4028, 0.6411)
F (0.7233, 0.0656, 0.3571)
F (0.7357, 0.2333, 0.7969)
F (0.7447, 0.3805, 0.3207)
F (0.7553, 0.8805, 0.8207)
F (0.7643, 0.7333, 0.2969)
F (0.7767, 0.5656, 0.8571)
F (0.9703, 0.9028, 0.1411)
F (0.9752, 0.7423, 0.6857)
F (0.9875, 0.5919, 0.1632)

No. 2
Structure and computed X-ray powder pattern of Li2Al2P2O9F (a structure optimized by DFT (PBE); a wavelength of 1.5418 Å).
Peak positions follow from Bragg's law for the DFT cell and can differ from measured ones.

Main lines, in order of rising 2θ (15° ≤ 2θ ≤ 90°):
2θ 18.69, d = 4.747 Å, I 82
2θ 18.96, d = 4.681 Å, I 49
2θ 26.79, d = 3.328 Å, I 38
2θ 26.93, d = 3.311 Å, I 48
2θ 27.28, d = 3.269 Å, I 51
2θ 27.71, d = 3.219 Å, I 94
2θ 27.94, d = 3.193 Å, I 62
2θ 29.64, d = 3.014 Å, I 100

Structure:
abc: 5.1487 5.2079 7.0455
angles: 107.80 107.06 98.22
Fractional positions:
Li (0.0000, 0.0000, 0.0000)
Li (0.4640, 0.7529, 0.4771)
Al (0.7296, 0.3760, 0.2447)
Al (0.7392, 0.3835, 0.7411)
P (0.0594, 0.0229, 0.4861)
P (0.4094, 0.7352, 0.9978)
O (0.0312, 0.7040, 0.3825)
O (0.0968, 0.6219, 0.8530)
O (0.3780, 0.1377, 0.6210)
O (0.4313, 0.0512, 0.1057)
O (0.4795, 0.5969, 0.1655)
O (0.6090, 0.6960, 0.8705)
O (0.6581, 0.4582, 0.4950)
O (0.8763, 0.0677, 0.6271)
O (0.9801, 0.1508, 0.3127)
F (0.8117, 0.3027, 0.9918)

No. 3
Structure and computed X-ray powder pattern of LiSmAlF6 (a structure optimized by DFT (PBE); a wavelength of 1.5418 Å).
Peak positions follow from Bragg's law for the DFT cell and can differ from measured ones.

Main lines, in order of rising 2θ (15° ≤ 2θ ≤ 90°):
2θ 20.82, d = 4.267 Å, I 51
2θ 26.38, d = 3.379 Å, I 100
2θ 38.79, d = 2.322 Å, I 24
2θ 40.07, d = 2.250 Å, I 22
2θ 45.57, d = 1.991 Å, I 21
2θ 49.54, d = 1.840 Å, I 30
2θ 54.17, d = 1.693 Å, I 13
2θ 59.73, d = 1.548 Å, I 20

Structure:
abc: 4.9267 4.9267 11.0681
angles: 90.00 90.00 120.00
Fractional positions:
Li (0.3333, 0.6667, 0.2500)
Li (0.6667, 0.3333, 0.7500)
Sm (0.0000, 0.0000, 0.0000)
Sm (0.0000, 0.0000, 0.5000)
Al (0.3333, 0.6667, 0.7500)
Al (0.6667, 0.3333, 0.2500)
F (0.0286, 0.3594, 0.8445)
F (0.0286, 0.6692, 0.6555)
F (0.3308, 0.3594, 0.6555)
F (0.3308, 0.9714, 0.8445)
F (0.3594, 0.0286, 0.1555)
F (0.3594, 0.3308, 0.3445)
F (0.6406, 0.6692, 0.8445)
F (0.6406, 0.9714, 0.6555)
F (0.6692, 0.0286, 0.3445)
F (0.6692, 0.6406, 0.1555)
F (0.9714, 0.3308, 0.1555)
F (0.9714, 0.6406, 0.3445)

No. 4
Structure and computed X-ray powder pattern of MgAlO2F5 (a structure optimized by DFT (PBE); a wavelength of 1.5418 Å).
Peak positions follow from Bragg's law for the DFT cell and can differ from measured ones.

Main lines, in order of rising 2θ (15° ≤ 2θ ≤ 90°):
2θ 15.81, d = 5.606 Å, I 100
2θ 18.37, d = 4.831 Å, I 40
2θ 25.09, d = 3.549 Å, I 36
2θ 28.92, d = 3.087 Å, I 27
2θ 29.97, d = 2.982 Å, I 48
2θ 31.93, d = 2.803 Å, I 29
2θ 48.73, d = 1.869 Å, I 23
2θ 51.50, d = 1.774 Å, I 47

Structure:
abc: 7.1257 7.1257 7.1257
angles: 120.77 85.55 124.47
Fractional positions:
Mg (0.0000, 0.0000, 0.0000)
Mg (0.5000, 0.0000, 0.5000)
Al (0.5000, 0.0000, 0.0000)
Al (0.5000, 0.5000, 0.5000)
O (0.1092, 0.7251, 0.3840)
O (0.1589, 0.2749, 0.8840)
O (0.8411, 0.7251, 0.1160)
O (0.8908, 0.2749, 0.6160)
F (0.1908, 0.2642, 0.3238)
F (0.1908, 0.8670, 0.9266)
F (0.4237, 0.6737, 0.7500)
F (0.4404, 0.2642, 0.5734)
F (0.4404, 0.8670, 0.1762)
F (0.5596, 0.1330, 0.8238)
F (0.5596, 0.7358, 0.4266)
F (0.5763, 0.3263, 0.2500)
F (0.8092, 0.1330, 0.0734)
F (0.8092, 0.7358, 0.6762)